No. 1
This entry pairs a crystal structure of SiHg3S2F6 with its computed XRD peak list. Radiation: copper Kα. Structure: a cell relaxed with PBE.

The 10 most intense peaks (10° ≤ 2θ ≤ 90°), in order of falling intensity:
2θ/deg, I (rel.), hkl
33.38, 100, 0 2 1
27.82, 80, 2 0 0
18.07, 67, 0 0 1
22.81, 58, 1 0 1
46.59, 56, 2 0 2
52.85, 29, 2 2 1
49.22, 25, 2 2 0
41.55, 20, 2 1 1
13.81, 20, 1 0 0
60.77, 19, 0 4 1

Structure:
```
data_SiHg3S2F6
_cell_length_a 7.4049
_cell_length_b 7.4049
_cell_length_c 4.9098
_cell_angle_alpha 90.00
_cell_angle_beta 90.00
_cell_angle_gamma 120.00
_space_group_name_H-M_alt 'P -3 m 1'
_space_group_IT_number 164
_space_group_name_Hall '-P 3 2"'
loop_
_atom_site_label
_atom_site_fract_x
_atom_site_fract_y
_atom_site_fract_z
_atom_site_occupancy
Si1 0.0000 0.0000 0.0000 1
Hg1 0.0000 0.5000 0.5000 1
S1 0.3333 0.6667 0.7139 1
F1 0.1102 0.2204 0.7988 1
```

No. 2
This entry pairs a crystal structure of SnHgF6 with its computed XRD peak list. Radiation: copper Kα. Structure: a cell relaxed with PBE.

The 10 most intense peaks (10° ≤ 2θ ≤ 90°), in order of falling intensity:
2θ/deg, I (rel.), hkl
21.63, 100, 0 1 2
29.69, 36, 1 0 4
48.16, 29, 1 1 6
31.82, 23, 1 1 0
51.02, 18, 1 2 2
44.07, 18, 0 2 4
38.80, 15, 2 0 2
55.38, 15, 2 1 4
56.69, 10, 3 0 0
70.82, 9, 3 1 2

Structure:
```
data_SnHgF6
_cell_length_a 5.6249
_cell_length_b 5.6249
_cell_length_c 15.3054
_cell_angle_alpha 90.00
_cell_angle_beta 90.00
_cell_angle_gamma 120.00
_space_group_name_H-M_alt 'R -3'
_space_group_IT_number 148
_space_group_name_Hall '-R 3'
loop_
_atom_site_label
_atom_site_fract_x
_atom_site_fract_y
_atom_site_fract_z
_atom_site_occupancy
Sn1 0.0000 0.0000 0.0000 1
Hg1 0.0000 0.0000 0.5000 1
F1 0.0249 0.6296 0.7422 1
```

No. 3
This entry pairs a crystal structure of TaHg2F6 with its computed XRD peak list. Radiation: copper Kα. Structure: a cell relaxed with PBE.

The 10 most intense peaks (10° ≤ 2θ ≤ 90°), in order of falling intensity:
2θ/deg, I (rel.), hkl
27.22, 100, 2 2 0
27.89, 56, 2 2 -2
24.63, 50, 1 1 1
25.14, 47, 1 1 -2
26.87, 41, 3 1 -1
27.01, 40, 1 3 0
27.35, 39, 3 1 -2
44.89, 34, 0 4 2
47.59, 30, 4 4 -2
22.01, 20, 0 2 1

Structure:
```
data_TaHg2F6
_cell_length_a 10.8098
_cell_length_b 10.8152
_cell_length_c 7.9908
_cell_angle_alpha 90.00
_cell_angle_beta 130.53
_cell_angle_gamma 90.00
_space_group_name_H-M_alt 'C 1 2/c 1'
_space_group_IT_number 15
_space_group_name_Hall '-C 2yc'
loop_
_atom_site_label
_atom_site_fract_x
_atom_site_fract_y
_atom_site_fract_z
_atom_site_occupancy
Ta1 0.0000 0.1242 0.2500 1
Hg1 0.0000 0.5000 0.0000 1
Hg2 0.2500 0.2500 0.0000 1
F1 0.0000 0.0531 0.7500 1
F2 0.0000 0.3032 0.2500 1
F3 0.1562 0.1256 0.5684 1
F4 0.1762 0.1251 0.2446 1
```

No. 4
This entry pairs a crystal structure of K3HoF6 with its computed XRD peak list. Radiation: copper Kα. Structure: a cell relaxed with PBE.

The 10 most intense peaks (10° ≤ 2θ ≤ 90°), in order of falling intensity:
2θ/deg, I (rel.), hkl
19.38, 100, 1 1 -1
16.59, 86, 0 1 1
27.49, 83, 1 1 1
27.64, 80, 1 1 -3
39.30, 50, 2 2 -2
17.00, 42, 1 0 -2
27.06, 40, 0 2 0
32.64, 38, 1 0 -4
27.95, 35, 2 0 -2
16.89, 34, 1 0 0

Structure:
```
data_K3HoF6
_cell_length_a 6.3836
_cell_length_b 6.5914
_cell_length_c 11.1058
_cell_angle_alpha 90.00
_cell_angle_beta 124.66
_cell_angle_gamma 90.00
_space_group_name_H-M_alt 'P 1 21/c 1'
_space_group_IT_number 14
_space_group_name_Hall '-P 2ybc'
loop_
_atom_site_label
_atom_site_fract_x
_atom_site_fract_y
_atom_site_fract_z
_atom_site_occupancy
K1 0.0000 0.0000 0.0000 1
K2 0.2349 0.0494 0.7469 1
Ho1 0.5000 0.0000 0.5000 1
F1 0.1742 0.1756 0.4525 1
F2 0.2668 0.7274 0.4355 1
F3 0.3825 0.0502 0.2762 1
```

No. 5
This entry pairs a crystal structure of K3HoF6 with its computed XRD peak list. Radiation: copper Kα. Structure: a cell relaxed with PBE.

The 10 most intense peaks (10° ≤ 2θ ≤ 90°), in order of falling intensity:
2θ/deg, I (rel.), hkl
15.80, 100, 1 0 1
25.13, 86, 2 0 0
26.33, 63, 1 1 2
45.02, 43, 3 1 2
17.70, 30, 1 1 0
47.18, 28, 2 0 4
31.87, 22, 1 0 3
35.84, 20, 2 2 0
19.34, 18, 0 0 2
39.26, 18, 0 0 4

Structure:
```
data_K3HoF6
_cell_length_a 7.0866
_cell_length_b 7.0866
_cell_length_c 9.1802
_cell_angle_alpha 90.00
_cell_angle_beta 90.00
_cell_angle_gamma 90.00
_space_group_name_H-M_alt 'I 4/m m m'
_space_group_IT_number 139
_space_group_name_Hall '-I 4 2'
loop_
_atom_site_label
_atom_site_fract_x
_atom_site_fract_y
_atom_site_fract_z
_atom_site_occupancy
K1 0.0000 0.0000 0.0000 1
K2 0.0000 0.5000 0.2500 1
Ho1 0.0000 0.0000 0.5000 1
F1 0.0000 0.0000 0.2626 1
F2 0.0000 0.3053 0.5000 1
```